[1]
Theoretical powder diffractogram
Compound: Cs2MgRe2O8
Radiation: Cu Kα, 1.54184 Å
Structure: a cell relaxed with PBE
Neutral-atom scattering factors, no anomalous dispersion.

Main lines, by intensity (10 to 90 degrees two-theta):
2θ 25.3, rel. 1000; 2θ 21.7, rel. 759; 2θ 19.9, rel. 616; 2θ 24.2, rel. 426; 2θ 29.7, rel. 387; 2θ 39.0, rel. 299; 2θ 38.7, rel. 260; 2θ 20.2, rel. 241

```
13
Lattice="7.4854 -3.0038 0.0000 7.4854 3.0038 0.0000 -1.2995 0.0000 6.5446" Properties=species:S:1:pos:R:3 pbc="T T T"
Cs 2.2928 0.0000 0.2089
Cs 11.3784 0.0000 6.3357
Mg -0.6498 0.0000 3.2723
Re 4.9896 0.0000 3.9594
Re 8.6817 0.0000 2.5852
O 5.7633 1.6338 4.2354
O 7.9079 1.6338 2.3092
O 3.7452 0.0000 5.2420
O 4.5788 0.0000 2.2366
O 9.0924 0.0000 4.3080
O 9.9260 0.0000 1.3026
O 5.7633 -1.6338 4.2354
O 7.9079 -1.6338 2.3092
```

***

[2]
Theoretical powder diffractogram
Compound: Cs2MgRe2O8
Radiation: Cu Kα, 1.54184 Å
Structure: a cell relaxed with PBE
Neutral-atom scattering factors, no anomalous dispersion.

Main lines, by intensity (10 to 90 degrees two-theta):
2θ 22.9, rel. 1000; 2θ 25.8, rel. 404; 2θ 43.8, rel. 335; 2θ 38.2, rel. 225; 2θ 27.7, rel. 177; 2θ 36.8, rel. 174; 2θ 46.7, rel. 170; 2θ 46.2, rel. 152

```
13
Lattice="6.4321 0.0000 0.0000 0.0017 6.9040 0.0000 3.2137 3.4484 6.9148" Properties=species:S:1:pos:R:3 pbc="T T T"
Cs 0.0000 0.0000 0.0000
Cs 3.2104 6.9059 3.4475
Mg 3.2149 3.4535 2.7999
Re 6.4257 6.9011 6.8320
Re 6.4307 3.4487 3.2505
O 4.9374 6.9003 5.9048
O 3.2138 2.1639 1.2713
O 3.2141 4.7424 1.2706
O 4.7589 3.4503 4.0275
O 7.9139 6.9003 5.9016
O 6.4315 1.8990 2.3930
O 6.4315 4.9956 2.3881
O 8.1024 3.4504 4.0275
```

***

[3]
Theoretical powder diffractogram
Compound: CsMg6SbO8
Radiation: Cu Kα, 1.54184 Å
Structure: a cell relaxed with PBE
Neutral-atom scattering factors, no anomalous dispersion.

Main lines, by intensity (10 to 90 degrees two-theta):
2θ 37.6, rel. 1000; 2θ 18.5, rel. 817; 2θ 32.8, rel. 738; 2θ 26.9, rel. 682; 2θ 55.4, rel. 571; 2θ 39.1, rel. 428; 2θ 19.3, rel. 381; 2θ 26.3, rel. 354

```
16
Lattice="4.7902 0.0000 0.0000 0.0000 4.7902 0.0000 0.0000 0.0000 9.2060" Properties=species:S:1:pos:R:3 pbc="T T T"
Cs 0.0000 0.0000 0.0000
Mg 0.0000 2.3951 2.2279
Mg 0.0000 2.3951 6.9782
Mg 2.3951 0.0000 2.2279
Mg 2.3951 0.0000 6.9782
Mg 2.3951 2.3951 0.0000
Mg 2.3951 2.3951 4.6030
Sb 0.0000 0.0000 4.6030
O 0.0000 0.0000 2.5262
O 0.0000 0.0000 6.6798
O 0.0000 2.3951 0.0000
O 0.0000 2.3951 4.6030
O 2.3951 0.0000 0.0000
O 2.3951 0.0000 4.6030
O 2.3951 2.3951 2.3478
O 2.3951 2.3951 6.8582
```

***

[4]
Theoretical powder diffractogram
Compound: CsMg14SbO16
Radiation: Cu Kα, 1.54184 Å
Structure: a cell relaxed with PBE
Neutral-atom scattering factors, no anomalous dispersion.

Main lines, by intensity (10 to 90 degrees two-theta):
2θ 39.5, rel. 1000; 2θ 40.0, rel. 945; 2θ 34.5, rel. 923; 2θ 40.7, rel. 853; 2θ 57.5, rel. 582; 2θ 58.0, rel. 537; 2θ 58.4, rel. 517; 2θ 72.8, rel. 498

```
32
Lattice="4.5651 0.0000 0.0000 0.0000 8.8758 0.0000 0.0000 0.0000 9.0101" Properties=species:S:1:pos:R:3 pbc="T T T"
Cs 0.0000 0.0000 0.0000
Mg 0.0000 2.3498 2.2165
Mg 0.0000 2.3498 6.7936
Mg 0.0000 4.4379 0.0000
Mg 0.0000 4.4379 4.5050
Mg 0.0000 6.5259 2.2165
Mg 0.0000 6.5259 6.7936
Mg 2.2825 0.0000 2.2086
Mg 2.2825 0.0000 6.8015
Mg 2.2825 2.3382 0.0000
Mg 2.2825 2.3348 4.5050
Mg 2.2825 4.4379 2.2461
Mg 2.2825 4.4379 6.7640
Mg 2.2825 6.5376 0.0000
Mg 2.2825 6.5410 4.5050
Sb 0.0000 0.0000 4.5050
O 0.0000 0.0000 2.4455
O 0.0000 0.0000 6.5646
O 0.0000 2.3730 4.5050
O 0.0000 2.5570 0.0000
O 0.0000 4.4379 2.3277
O 0.0000 4.4379 6.6824
O 0.0000 6.3188 0.0000
O 0.0000 6.5028 4.5050
O 2.2825 0.0000 0.0000
O 2.2825 0.0000 4.5050
O 2.2825 2.2257 2.2590
O 2.2825 2.2257 6.7511
O 2.2825 4.4379 0.0000
O 2.2825 4.4379 4.5050
O 2.2825 6.6501 2.2590
O 2.2825 6.6501 6.7511
```

***

[5]
Theoretical powder diffractogram
Compound: CsMg6SbO8
Radiation: Cu Kα, 1.54184 Å
Structure: a cell relaxed with PBE
Neutral-atom scattering factors, no anomalous dispersion.

Main lines, by intensity (10 to 90 degrees two-theta):
2θ 37.6, rel. 1000; 2θ 33.0, rel. 726; 2θ 28.1, rel. 622; 2θ 55.7, rel. 501; 2θ 19.5, rel. 405; 2θ 39.6, rel. 371; 2θ 26.3, rel. 354; 2θ 54.2, rel. 316

```
16
Lattice="4.7860 0.0000 0.0000 0.0000 4.7860 0.0000 0.0000 0.0000 9.1138" Properties=species:S:1:pos:R:3 pbc="T T T"
Cs 0.0000 0.0000 0.0000
Mg 0.0000 0.0000 4.5569
Mg 0.0000 2.3930 2.5061
Mg 0.0000 2.3930 6.6078
Mg 2.3930 0.0000 2.5061
Mg 2.3930 0.0000 6.6078
Mg 2.3930 2.3930 4.5569
Sb 2.3930 2.3930 0.0000
O 0.0000 0.0000 2.6501
O 0.0000 0.0000 6.4637
O 0.0000 2.3930 0.0000
O 0.0000 2.3930 4.5569
O 2.3930 0.0000 0.0000
O 2.3930 0.0000 4.5569
O 2.3930 2.3930 2.4247
O 2.3930 2.3930 6.6891
```

***

[6]
Theoretical powder diffractogram
Compound: CsMg14SbO16
Radiation: Cu Kα, 1.54184 Å
Structure: a cell relaxed with PBE
Neutral-atom scattering factors, no anomalous dispersion.

Main lines, by intensity (10 to 90 degrees two-theta):
2θ 40.6, rel. 1000; 2θ 57.9, rel. 627; 2θ 39.5, rel. 564; 2θ 34.7, rel. 525; 2θ 14.1, rel. 512; 2θ 24.1, rel. 415; 2θ 20.0, rel. 358; 2θ 28.0, rel. 308

```
32
Lattice="8.8938 0.0000 0.0000 0.0000 8.8938 0.0000 0.0000 0.0000 4.5602" Properties=species:S:1:pos:R:3 pbc="T T T"
Cs 0.0000 0.0000 0.0000
Mg 0.0000 2.3022 2.2801
Mg 0.0000 4.4469 0.0000
Mg 0.0000 6.5916 2.2801
Mg 2.1153 4.4469 2.2801
Mg 2.1926 2.1926 0.0000
Mg 2.1926 6.7012 0.0000
Mg 2.3022 0.0000 2.2801
Mg 4.4469 0.0000 0.0000
Mg 4.4469 2.1153 2.2801
Mg 4.4469 6.7784 2.2801
Mg 6.5916 0.0000 2.2801
Mg 6.7012 2.1926 0.0000
Mg 6.7012 6.7012 0.0000
Mg 6.7784 4.4469 2.2801
Sb 4.4469 4.4469 0.0000
O 0.0000 0.0000 2.2801
O 0.0000 2.5462 0.0000
O 0.0000 4.4469 2.2801
O 0.0000 6.3475 0.0000
O 2.1759 4.4469 0.0000
O 2.2393 2.2393 2.2801
O 2.2393 6.6545 2.2801
O 2.5462 0.0000 0.0000
O 4.4469 0.0000 2.2801
O 4.4469 2.1759 0.0000
O 4.4469 4.4469 2.2801
O 4.4469 6.7179 0.0000
O 6.3475 0.0000 0.0000
O 6.6545 2.2393 2.2801
O 6.6545 6.6545 2.2801
O 6.7179 4.4469 0.0000
```